No. 1
Structure and computed PXRD pattern of CuPd3O8 (a cell relaxed with PBE; Cu Kα (λ = 1.5418 Å)).
Intensities are scaled so that the largest is 100.

Principal peaks in the range 5 to 70 degrees two-theta, by angle:
2θ 18.67, rel. 100
2θ 34.27, rel. 33
2θ 34.41, rel. 17
2θ 36.14, rel. 14
2θ 42.28, rel. 32
2θ 42.71, rel. 16
2θ 46.88, rel. 11
2θ 56.76, rel. 11
2θ 60.31, rel. 16
2θ 62.98, rel. 8

```
data_CuPd3O8
_chemical_formula_sum 'Cu2 Pd6 O16'
_symmetry_space_group_name_H-M 'C 1 2/m 1'
_symmetry_Int_Tables_number 12
_symmetry_space_group_name_Hall '-C 2y'
_cell_length_a 10.101
_cell_length_b 6.140
_cell_length_c 5.966
_cell_angle_alpha 90.00
_cell_angle_beta 123.02
_cell_angle_gamma 90.00
loop_
_atom_site_label
_atom_site_fract_x
_atom_site_fract_y
_atom_site_fract_z
Cu1 0.000 0.000 0.000
Pd1 0.000 0.500 0.000
Pd2 0.250 0.250 0.500
O1 0.013 0.246 0.229
O2 0.232 0.000 0.262
O3 0.238 0.500 0.266
```

=====

No. 2
Structure and computed PXRD pattern of Er3Tm8Mg (a cell relaxed with PBE; Cu Kα (λ = 1.5418 Å)).
Intensities are scaled so that the largest is 100.

Principal peaks in the range 5 to 70 degrees two-theta, by angle:
2θ 29.61, rel. 38
2θ 29.80, rel. 22
2θ 32.00, rel. 73
2θ 32.73, rel. 100
2θ 32.89, rel. 47
2θ 34.47, rel. 90
2θ 34.66, rel. 42
2θ 52.37, rel. 36
2θ 62.39, rel. 22
2θ 62.71, rel. 42

```
data_Er3Tm8Mg
_chemical_formula_sum 'Er3 Tm8 Mg1'
_symmetry_space_group_name_H-M 'P 1 m 1'
_symmetry_Int_Tables_number 6
_symmetry_space_group_name_Hall 'P -2y'
_cell_length_a 8.630
_cell_length_b 3.516
_cell_length_c 12.077
_cell_angle_alpha 90.00
_cell_angle_beta 103.55
_cell_angle_gamma 90.00
loop_
_atom_site_label
_atom_site_fract_x
_atom_site_fract_y
_atom_site_fract_z
Er1 0.000 0.000 0.000
Er2 0.005 0.500 0.750
Er3 0.666 0.000 0.113
Tm1 0.002 0.500 0.254
Tm2 0.330 0.000 0.226
Tm3 0.331 0.500 0.480
Tm4 0.333 0.500 0.975
Tm5 0.661 0.500 0.364
Tm6 0.662 0.500 0.861
Tm7 0.671 0.000 0.613
Tm8 0.997 0.000 0.501
Mg1 0.332 0.000 0.724
```

=====

No. 3
Structure and computed PXRD pattern of BBr2Cl (a cell relaxed with PBE; Cu Kα (λ = 1.5418 Å)).
Intensities are scaled so that the largest is 100.

Principal peaks in the range 5 to 70 degrees two-theta, by angle:
2θ 18.53, rel. 43
2θ 18.96, rel. 42
2θ 21.74, rel. 100
2θ 26.95, rel. 40
2θ 27.96, rel. 65
2θ 28.26, rel. 61
2θ 34.41, rel. 22
2θ 35.37, rel. 19
2θ 41.98, rel. 21
2θ 42.59, rel. 19

```
data_BBr2Cl
_chemical_formula_sum 'B2 Br4 Cl2'
_symmetry_space_group_name_H-M 'P 1 21/m 1'
_symmetry_Int_Tables_number 11
_symmetry_space_group_name_Hall '-P 2yb'
_cell_length_a 5.189
_cell_length_b 12.105
_cell_length_c 5.330
_cell_angle_alpha 90.00
_cell_angle_beta 102.04
_cell_angle_gamma 90.00
loop_
_atom_site_label
_atom_site_fract_x
_atom_site_fract_y
_atom_site_fract_z
B1 0.108 0.250 0.106
Br1 0.251 0.113 0.252
Cl1 0.153 0.750 0.158
```

=====

No. 4
Structure and computed PXRD pattern of Ti2Sb2O7 (a cell relaxed with PBE; Cu Kα (λ = 1.5418 Å)).
Intensities are scaled so that the largest is 100.

Principal peaks in the range 5 to 70 degrees two-theta, by angle:
2θ 13.50, rel. 17
2θ 20.57, rel. 34
2θ 27.20, rel. 18
2θ 27.88, rel. 21
2θ 29.34, rel. 15
2θ 29.52, rel. 100
2θ 31.17, rel. 41
2θ 31.43, rel. 31
2θ 46.58, rel. 26
2θ 57.12, rel. 16

```
data_Ti2Sb2O7
_chemical_formula_sum 'Ti8 Sb8 O28'
_symmetry_space_group_name_H-M 'P 1 21 1'
_symmetry_Int_Tables_number 4
_symmetry_space_group_name_Hall 'P 2yb'
_cell_length_a 7.800
_cell_length_b 5.737
_cell_length_c 13.247
_cell_angle_alpha 90.00
_cell_angle_beta 98.14
_cell_angle_gamma 90.00
loop_
_atom_site_label
_atom_site_fract_x
_atom_site_fract_y
_atom_site_fract_z
Ti1 0.025 0.000 0.124
Ti2 0.059 0.501 0.317
Ti3 0.406 0.995 0.667
Ti4 0.461 0.497 0.879
Sb1 0.138 0.487 0.559
Sb2 0.228 0.955 0.929
Sb3 0.301 0.435 0.136
Sb4 0.356 0.896 0.403
O1 0.025 0.827 0.001
O2 0.048 0.780 0.216
O3 0.090 0.751 0.427
O4 0.103 0.288 0.210
O5 0.113 0.298 0.429
O6 0.177 0.976 0.694
O7 0.221 0.590 0.886
O8 0.274 0.079 0.087
O9 0.336 0.579 0.327
O10 0.379 0.278 0.591
O11 0.389 0.793 0.554
O12 0.448 0.251 0.803
O13 0.481 0.852 0.987
O14 0.496 0.767 0.780
```

=====

No. 5
Structure and computed PXRD pattern of ZnC2S2O2F2 (a cell relaxed with PBE; Cu Kα (λ = 1.5418 Å)).
Intensities are scaled so that the largest is 100.

Principal peaks in the range 5 to 70 degrees two-theta, by angle:
2θ 10.52, rel. 100
2θ 25.28, rel. 39
2θ 25.72, rel. 39
2θ 27.27, rel. 27
2θ 29.41, rel. 12
2θ 29.59, rel. 15
2θ 35.95, rel. 15
2θ 36.73, rel. 24
2θ 36.92, rel. 14
2θ 46.72, rel. 22

```
data_ZnC2S2O2F2
_chemical_formula_sum 'Zn1 C2 S2 O2 F2'
_symmetry_space_group_name_H-M 'P -1'
_symmetry_Int_Tables_number 2
_symmetry_space_group_name_Hall '-P 1'
_cell_length_a 3.891
_cell_length_b 5.113
_cell_length_c 8.585
_cell_angle_alpha 81.74
_cell_angle_beta 79.24
_cell_angle_gamma 67.68
loop_
_atom_site_label
_atom_site_fract_x
_atom_site_fract_y
_atom_site_fract_z
Zn1 0.000 0.000 0.000
C1 0.177 0.821 0.795
S1 0.361 0.487 0.750
O1 0.396 0.288 0.903
F1 0.148 0.998 0.657
```

=====

No. 6
Structure and computed PXRD pattern of AgHgBi (a cell relaxed with PBE; Cu Kα (λ = 1.5418 Å)).
Intensities are scaled so that the largest is 100.

Principal peaks in the range 5 to 70 degrees two-theta, by angle:
2θ 24.00, rel. 9
2θ 32.36, rel. 100
2θ 36.35, rel. 19
2θ 38.75, rel. 54
2θ 47.80, rel. 8
2θ 53.21, rel. 23
2θ 58.64, rel. 17
2θ 63.66, rel. 15
2θ 66.15, rel. 20
2θ 67.74, rel. 11

```
data_AgHgBi
_chemical_formula_sum 'Ag1 Hg1 Bi1'
_symmetry_space_group_name_H-M 'P 3 m 1'
_symmetry_Int_Tables_number 156
_symmetry_space_group_name_Hall 'P 3 -2"'
_cell_length_a 3.4431
_cell_length_b 3.4431
_cell_length_c 7.4147
_cell_angle_alpha 90.00
_cell_angle_beta 90.00
_cell_angle_gamma 120.00
loop_
_atom_site_label
_atom_site_fract_x
_atom_site_fract_y
_atom_site_fract_z
Ag1 0.0000 0.0000 0.0000
Hg1 0.3333 0.6667 0.7037
Bi1 0.6667 0.3333 0.3200
```